Entry 1:
Sr4Tl2CO9: theoretical PXRD pattern (Cu Kα X-rays), based on a crystal structure in Alexandria, relaxed with PBE.

Structure:
```
data_Sr4Tl2CO9
_chemical_formula_sum 'Sr4 Tl2 C1 O9'
_cell_length_a 10.138
_cell_length_b 10.138
_cell_length_c 10.138
_cell_angle_alpha 150.77
_cell_angle_beta 41.66
_cell_angle_gamma 150.98
_symmetry_space_group_name_H-M 'P 1'
_symmetry_Int_Tables_number 1
loop_
_symmetry_equiv_pos_as_xyz
'x,y,z'
loop_
_atom_site_label
_atom_site_fract_x
_atom_site_fract_y
_atom_site_fract_z
Sr1 0.111 0.000 0.111
Sr2 0.400 0.012 0.389
Sr3 0.623 0.012 0.611
Sr4 0.889 0.000 0.889
Tl1 0.257 0.509 0.747
Tl2 0.762 0.509 0.253
C1 0.534 0.534 0.000
O1 0.146 0.512 0.634
O2 0.260 0.010 0.250
O3 0.279 0.279 0.000
O4 0.364 0.505 0.859
O5 0.646 0.505 0.141
O6 0.665 0.446 0.781
O7 0.665 0.884 0.219
O8 0.760 0.010 0.750
O9 0.878 0.512 0.366
```

Most intense lines, 10° ≤ 2θ ≤ 80°, in order of rising 2θ:
2θ 26.46, I 63.0; 2θ 28.25, I 20.2; 2θ 31.18, I 100.0; 2θ 35.09, I 31.5; 2θ 35.33, I 29.7; 2θ 37.98, I 23.0; 2θ 50.65, I 21.9; 2θ 54.72, I 21.5

Entry 2:
LaTm2Sc7: theoretical PXRD pattern (Cu Kα X-rays), based on a crystal structure in Alexandria, relaxed with PBE.

Structure:
```
data_LaTm2Sc7
_chemical_formula_sum 'La1 Tm2 Sc7'
_cell_length_a 8.504
_cell_length_b 8.504
_cell_length_c 8.504
_cell_angle_alpha 144.29
_cell_angle_beta 128.24
_cell_angle_gamma 64.47
_symmetry_space_group_name_H-M 'P 1'
_symmetry_Int_Tables_number 1
loop_
_symmetry_equiv_pos_as_xyz
'x,y,z'
loop_
_atom_site_label
_atom_site_fract_x
_atom_site_fract_y
_atom_site_fract_z
La1 0.000 0.000 0.000
Tm1 0.348 0.848 0.500
Tm2 0.652 0.152 0.500
Sc1 0.065 0.367 0.697
Sc2 0.219 0.219 0.000
Sc3 0.330 0.633 0.697
Sc4 0.500 0.500 0.000
Sc5 0.670 0.367 0.303
Sc6 0.781 0.781 0.000
Sc7 0.935 0.633 0.303
```

Most intense lines, 10° ≤ 2θ ≤ 80°, in order of rising 2θ:
2θ 22.07, I 40.6; 2θ 23.98, I 36.8; 2θ 24.25, I 30.4; 2θ 30.20, I 60.6; 2θ 32.56, I 100.0; 2θ 34.40, I 41.7; 2θ 35.08, I 39.5; 2θ 42.36, I 22.3